Entry 1:
The following is a calculated PXRD pattern of Nd4Dy5Mg. It was derived from the PBE geometry in Alexandria, using CuKα.
No peak broadening, texture or thermal motion is included.

Atomic structure:
a b c (Å): 4.149 4.149 18.726
angles (deg): 90.00 90.00 90.00
Space group P4/mmm (No. 123)
Unique sites:
Nd  0.000  0.000  0.102 (multiplicity 2)
Nd  0.000  0.000  0.300 (multiplicity 2)
Dy  0.500  0.500  0.000 (multiplicity 1)
Dy  0.500  0.500  0.204 (multiplicity 2)
Dy  0.500  0.500  0.408 (multiplicity 2)
Mg  0.000  0.000  0.500 (multiplicity 1)

Principal peaks in the range 10° ≤ 2θ ≤ 80°, by angle:
30.47°, rel. 59, (1 1 0)
32.20°, rel. 100, (1 0 5)
43.63°, rel. 22, (2 0 0)
48.62°, rel. 8, (0 0 10)
55.25°, rel. 43, (2 1 5)
58.47°, rel. 17, (1 1 10)
63.41°, rel. 7, (2 2 0)
67.37°, rel. 11, (2 0 10)
71.97°, rel. 10, (3 1 0)
72.92°, rel. 9, (3 0 5)



Entry 2:
The following is a calculated PXRD pattern of Rb2SrCrBr6. It was derived from the PBE geometry in Alexandria, using CuKα.
No peak broadening, texture or thermal motion is included.

Atomic structure:
a b c (Å): 7.999 11.300 7.992
angles (deg): 90.00 90.00 90.00
Space group Pmmn (No. 59, origin choice 2)
Unique sites:
Rb  0.250  0.001  0.249 (multiplicity 4)
Sr  0.250  0.750  0.749 (multiplicity 2)
Cr  0.250  0.250  0.751 (multiplicity 2)
Br  0.015  0.250  0.516 (multiplicity 4)
Br  0.015  0.250  0.986 (multiplicity 4)
Br  0.250  0.015  0.750 (multiplicity 4)

Principal peaks in the range 10° ≤ 2θ ≤ 80°, by angle:
15.68°, rel. 17, (1 0 1)
22.24°, rel. 19, (2 0 0)
27.33°, rel. 82, (2 2 0)
31.66°, rel. 100, (2 0 2)
45.38°, rel. 69, (4 0 0)
53.79°, rel. 33, (4 2 2)
56.39°, rel. 23, (4 4 0)
66.12°, rel. 10, (4 0 4)
72.95°, rel. 12, (0 2 6)
75.17°, rel. 28, (4 4 4)